# Tb2GeB2O8
Calculated powder X-ray diffraction pattern, copper Kα. Input: a PBE-relaxed structure.
Intensities are scaled so that the largest is 100.

Cell and atoms:
```
52
Lattice="13.543 0.000 0.000 0.000 4.430 0.000 0.000 0.000 9.358" Properties=species:S:1:pos:R:3 pbc="T T T"
Tb 1.897 0.181 0.242
Tb 1.897 4.250 4.921
Tb 4.875 2.034 4.921
Tb 4.875 2.396 0.242
Tb 8.669 2.034 9.115
Tb 8.669 2.396 4.436
Tb 11.647 0.181 4.436
Tb 11.647 4.250 9.115
Ge 0.000 1.878 7.018
Ge 0.000 2.553 2.339
Ge 6.772 0.337 2.339
Ge 6.772 4.093 7.018
B 2.716 2.081 2.778
B 2.716 2.349 7.457
B 4.056 0.134 7.457
B 4.056 4.296 2.778
B 9.487 0.134 6.580
B 9.487 4.296 1.901
B 10.828 2.081 1.901
B 10.828 2.349 6.580
O 0.063 0.892 8.454
O 0.063 3.539 3.775
O 1.453 1.507 2.169
O 1.453 2.924 6.848
O 2.608 2.049 4.224
O 2.608 2.381 8.903
O 2.911 0.956 6.935
O 2.911 3.474 2.256
O 3.860 1.259 2.256
O 3.860 3.171 6.935
O 4.164 0.166 8.903
O 4.164 4.264 4.224
O 5.319 0.709 6.848
O 5.319 3.722 2.169
O 6.708 1.323 3.775
O 6.708 3.107 8.454
O 6.835 1.323 0.903
O 6.835 3.107 5.582
O 8.225 0.709 7.189
O 8.225 3.722 2.510
O 9.380 0.166 5.133
O 9.380 4.264 0.454
O 9.683 1.259 2.422
O 9.683 3.171 7.101
O 10.632 0.956 7.101
O 10.632 3.474 2.422
O 10.936 2.049 0.454
O 10.936 2.381 5.133
O 12.091 1.507 2.510
O 12.091 2.924 7.189
O 13.480 0.892 5.582
O 13.480 3.539 0.903
```

Most intense lines, 15° ≤ 2θ ≤ 90°, in order of rising 2θ:
| h k l | two_theta | intensity |
| --- | --- | --- |
| 0 0 2 | 19.0 | 30 |
| 1 1 0 | 21.1 | 17 |
| 2 0 2 | 23.1 | 15 |
| 3 1 0 | 28.2 | 57 |
| 1 1 2 | 28.5 | 100 |
| 4 0 2 | 32.6 | 57 |
| 3 1 2 | 34.2 | 27 |
| 0 0 4 | 38.5 | 27 |
| 2 1 4 | 45.9 | 16 |
| 3 1 4 | 48.4 | 25 |
| 4 2 2 | 53.1 | 21 |
| 7 1 2 | 55.4 | 30 |